Starting from the PBE geometry in the Materials Project, the X-ray powder pattern of Ba2MgNb6N2O14 was simulated for Cu Kα, 1.54184 Å.
Intensities are scaled so that the largest is 100.

Cell and atoms:
Cell: 3.9686 9.2737 10.8980 Å, 89.15 79.61 89.99°
Sites, in units of the cell vectors:
Ba 0.0000 0.0000 0.0000
Ba 0.1385 0.4694 0.7280
Mg 0.2007 0.9996 0.6061
Nb 0.3553 0.9902 0.2934
Nb 0.4731 0.3182 0.0556
Nb 0.4928 0.6700 0.0164
Nb 0.7551 0.7862 0.4958
Nb 0.7663 0.2158 0.4730
Nb 0.8854 0.5158 0.2323
N 0.4149 0.5194 0.1729
N 0.8241 0.3643 0.3562
O 0.2666 0.8439 0.4725
O 0.2682 0.1503 0.4691
O 0.4135 0.1536 0.1758
O 0.4163 0.8559 0.1702
O 0.5404 0.1976 0.9179
O 0.5433 0.8355 0.9123
O 0.5469 0.5082 0.9083
O 0.6904 0.3096 0.6246
O 0.6950 0.6465 0.6162
O 0.7010 0.9793 0.6055
O 0.8312 0.6784 0.3419
O 0.8324 0.0146 0.3395
O 0.9639 0.3482 0.0740
O 0.9766 0.6799 0.0485

Most intense lines, 10 to 90 degrees two-theta, by angle:
2theta  intensity
16.54  28
25.21  27
25.61  54
27.38  61
27.52  38
29.94  100
32.12  36
32.32  34
38.83  43
45.72  39



Starting from the PBE geometry in the Materials Project, the X-ray powder pattern of Ba2MgNb6N2O14 was simulated for Cu Kα, 1.54184 Å.
Intensities are scaled so that the largest is 100.

Cell and atoms:
Cell: 10.6545 10.6545 9.1107 Å, 91.34 91.34 21.56°
Sites, in units of the cell vectors:
Ba 0.0000 0.0000 0.0000
Ba 0.0319 0.0319 0.4960
Mg 0.7899 0.7899 0.1782
Nb 0.2477 0.2477 0.9705
Nb 0.3823 0.3823 0.2966
Nb 0.3822 0.3822 0.6845
Nb 0.6434 0.6434 0.1880
Nb 0.6429 0.6429 0.8142
Nb 0.7748 0.7748 0.5137
N 0.3110 0.3110 0.1392
N 0.7222 0.7222 0.0010
O 0.1539 0.1539 0.1626
O 0.1545 0.1545 0.8362
O 0.3000 0.3000 0.5001
O 0.3054 0.3054 0.8173
O 0.4335 0.4335 0.5028
O 0.4459 0.4459 0.8248
O 0.4528 0.4528 0.1819
O 0.5759 0.5759 0.6778
O 0.5805 0.5805 0.3267
O 0.5879 0.5879 0.9982
O 0.7130 0.7130 0.6515
O 0.7230 0.7230 0.3335
O 0.8622 0.8622 0.3344
O 0.8633 0.8633 0.6500

Most intense lines, 10 to 90 degrees two-theta, by angle:
2theta  intensity
25.63  100
25.74  80
26.25  79
27.46  34
27.67  43
30.03  39
30.17  64
30.98  57
34.28  31
45.52  47